The following is a calculated PXRD pattern of TlNiAs2P. It was derived from a structure optimized by DFT (GGA-PBE), using Cu Kα (λ = 1.5418 Å).

The 10 most intense peaks (2θ = 10–90°), in order of falling intensity:
5.246 Å, rel. 100.0; 2.623 Å, rel. 68.2; 4.762 Å, rel. 49.0; 1.763 Å, rel. 41.2; 3.526 Å, rel. 39.5; 2.298 Å, rel. 31.0; 2.346 Å, rel. 27.0; 2.381 Å, rel. 25.9; 1.855 Å, rel. 24.2; 1.463 Å, rel. 22.1

Atomic structure:
Unit cell a=5.246 b=5.246 c=4.762 alpha=90.00 beta=90.00 gamma=90.00
Space group P4/mmm (No. 123)
Unique sites:
Tl (0.000, 0.000, 0.000) x1
Ni (0.000, 0.000, 0.500) x1
As (0.000, 0.500, 0.000) x2
P (0.500, 0.500, 0.500) x1

***

The following is a calculated PXRD pattern of BaGe12Os4. It was derived from a structure optimized by DFT (GGA-PBE), using Cu Kα (λ = 1.5418 Å).

The 10 most intense peaks (2θ = 10–90°), in order of falling intensity:
1.806 Å, rel. 100.0; 3.128 Å, rel. 89.9; 2.798 Å, rel. 89.3; 1.979 Å, rel. 80.8; 4.424 Å, rel. 74.7; 2.365 Å, rel. 42.2; 1.399 Å, rel. 30.2; 1.735 Å, rel. 26.7; 2.212 Å, rel. 24.8; 1.182 Å, rel. 20.1

Atomic structure:
Unit cell a=8.848 b=8.848 c=8.848 alpha=90.00 beta=90.00 gamma=90.00
Space group Im-3 (No. 204)
Unique sites:
Ba (0.000, 0.000, 0.000) x2
Ge (0.000, 0.348, 0.168) x24
Os (0.250, 0.250, 0.250) x8

***

The following is a calculated PXRD pattern of K4NaBr4. It was derived from a structure optimized by DFT (GGA-PBE), using Cu Kα (λ = 1.5418 Å).

The 10 most intense peaks (2θ = 10–90°), in order of falling intensity:
3.302 Å, rel. 100.0; 2.600 Å, rel. 79.5; 4.217 Å, rel. 59.8; 4.085 Å, rel. 59.5; 2.408 Å, rel. 53.3; 2.335 Å, rel. 45.3; 1.676 Å, rel. 29.3; 2.043 Å, rel. 27.2; 1.586 Å, rel. 23.9; 1.312 Å, rel. 21.3

Atomic structure:
Unit cell a=9.339 b=9.339 c=8.434 alpha=90.00 beta=90.00 gamma=90.00
Space group P4_2/nmc (No. 137, origin choice 2)
Unique sites:
K (0.023, 0.250, 0.097) x8
Na (0.250, 0.750, 0.250) x2
Br (0.021, 0.750, 0.501) x8

***

The following is a calculated PXRD pattern of La2PmY5. It was derived from a structure optimized by DFT (GGA-PBE), using Cu Kα (λ = 1.5418 Å).

The 10 most intense peaks (2θ = 10–90°), in order of falling intensity:
2.962 Å, rel. 100.0; 2.559 Å, rel. 33.2; 1.544 Å, rel. 27.5; 1.816 Å, rel. 23.6; 2.578 Å, rel. 17.0; 1.553 Å, rel. 14.1; 1.481 Å, rel. 11.9; 1.809 Å, rel. 11.6; 1.178 Å, rel. 11.1; 1.174 Å, rel. 5.5

Atomic structure:
Unit cell a=7.234 b=14.478 c=5.157 alpha=90.00 beta=90.00 gamma=90.00
Space group Pbam (No. 55)
Unique sites:
La (0.247, 0.125, 0.000) x4
Pm (0.000, 0.500, 0.500) x2
Y (0.000, 0.000, 0.500) x2
Y (0.005, 0.750, 0.500) x4
Y (0.245, 0.375, 0.000) x4

***

The following is a calculated PXRD pattern of H2PdF6. It was derived from a structure optimized by DFT (GGA-PBE), using Cu Kα (λ = 1.5418 Å).

The 10 most intense peaks (2θ = 10–90°), in order of falling intensity:
6.618 Å, rel. 100.0; 4.987 Å, rel. 41.0; 2.095 Å, rel. 33.6; 3.335 Å, rel. 23.3; 3.112 Å, rel. 22.1; 4.224 Å, rel. 15.8; 2.512 Å, rel. 15.5; 2.899 Å, rel. 14.6; 3.858 Å, rel. 14.4; 2.144 Å, rel. 14.3

Atomic structure:
Unit cell a=10.075 b=8.844 c=5.130 alpha=90.00 beta=98.11 gamma=90.00
Space group C2/c (No. 15)
Unique sites:
H (0.133, 0.015, 0.312) x8
Pd (0.000, 0.409, 0.750) x4
F (0.108, 0.422, 0.102) x8
F (0.110, 0.261, 0.624) x8
F (0.139, 0.055, 0.140) x8

***

The following is a calculated PXRD pattern of PmDy2Er4Mg. It was derived from a structure optimized by DFT (GGA-PBE), using Cu Kα (λ = 1.5418 Å).

The 10 most intense peaks (2θ = 10–90°), in order of falling intensity:
2.743 Å, rel. 100.0; 2.862 Å, rel. 56.3; 1.628 Å, rel. 42.2; 2.024 Å, rel. 21.0; 1.563 Å, rel. 18.2; 1.372 Å, rel. 11.7; 1.280 Å, rel. 9.5; 1.269 Å, rel. 9.2; 1.866 Å, rel. 8.1; 1.189 Å, rel. 7.3

Atomic structure:
Unit cell a=5.721 b=5.726 c=7.463 alpha=90.00 beta=90.05 gamma=90.00
Space group P2/m (No. 10)
Unique sites:
Pm (0.000, 0.000, 0.000) x1
Dy (0.000, 0.000, 0.500) x1
Dy (0.500, 0.500, 0.500) x1
Er (0.000, 0.500, 0.244) x2
Er (0.500, 0.000, 0.243) x2
Mg (0.500, 0.500, 0.000) x1

***

The following is a calculated PXRD pattern of Ac4La2As3N2. It was derived from a structure optimized by DFT (GGA-PBE), using Cu Kα (λ = 1.5418 Å).

The 10 most intense peaks (2θ = 10–90°), in order of falling intensity:
2.712 Å, rel. 100.0; 3.402 Å, rel. 60.5; 2.497 Å, rel. 57.1; 1.480 Å, rel. 32.5; 3.086 Å, rel. 25.0; 1.766 Å, rel. 20.3; 1.816 Å, rel. 19.9; 4.236 Å, rel. 17.9; 1.963 Å, rel. 16.3; 1.615 Å, rel. 16.2

Atomic structure:
Unit cell a=4.994 b=4.994 c=25.413 alpha=90.00 beta=90.00 gamma=90.00
Space group I4/mmm (No. 139)
Unique sites:
Ac (0.000, 0.500, 0.082) x8
La (0.000, 0.000, 0.199) x4
As (0.000, 0.000, 0.324) x4
As (0.000, 0.000, 0.500) x2
N (0.000, 0.000, 0.111) x4

***

The following is a calculated PXRD pattern of Li2SnAsN. It was derived from a structure optimized by DFT (GGA-PBE), using Cu Kα (λ = 1.5418 Å).

The 10 most intense peaks (2θ = 10–90°), in order of falling intensity:
2.433 Å, rel. 100.0; 2.927 Å, rel. 89.0; 4.375 Å, rel. 88.0; 2.070 Å, rel. 39.9; 1.752 Å, rel. 38.9; 1.871 Å, rel. 37.6; 1.503 Å, rel. 28.5; 1.254 Å, rel. 26.5; 2.188 Å, rel. 23.6; 1.123 Å, rel. 19.3

Atomic structure:
Unit cell a=4.139 b=4.139 c=4.375 alpha=90.00 beta=90.00 gamma=90.00
Space group P4mm (No. 99)
Unique sites:
Li (0.000, 0.500, 0.000) x2
Sn (0.000, 0.000, 0.499) x1
As (0.500, 0.500, 0.505) x1
N (0.000, 0.000, 0.999) x1

***

The following is a calculated PXRD pattern of NaYTiNbO6F. It was derived from a structure optimized by DFT (GGA-PBE), using Cu Kα (λ = 1.5418 Å).

The 10 most intense peaks (2θ = 10–90°), in order of falling intensity:
3.041 Å, rel. 100.0; 2.928 Å, rel. 92.1; 1.825 Å, rel. 68.1; 5.153 Å, rel. 40.9; 1.584 Å, rel. 27.5; 2.587 Å, rel. 24.8; 1.536 Å, rel. 23.7; 1.884 Å, rel. 17.8; 2.312 Å, rel. 17.3; 1.779 Å, rel. 17.2

Atomic structure:
Unit cell a=7.117 b=7.535 c=10.305 alpha=90.00 beta=90.00 gamma=90.00
Space group Imma (No. 74)
Unique sites:
Na (0.250, 0.250, 0.250) x4
Y (0.000, 0.000, 0.000) x4
Ti (0.250, 0.250, 0.750) x4
Nb (0.000, 0.000, 0.500) x4
O (0.000, 0.250, 0.431) x4
O (0.000, 0.250, 0.828) x4
O (0.211, 0.058, 0.622) x16
F (0.000, 0.250, 0.116) x4

***

The following is a calculated PXRD pattern of Pr6Ge3S2I. It was derived from a structure optimized by DFT (GGA-PBE), using Cu Kα (λ = 1.5418 Å).

The 10 most intense peaks (2θ = 10–90°), in order of falling intensity:
3.056 Å, rel. 100.0; 2.167 Å, rel. 36.0; 2.153 Å, rel. 24.2; 3.522 Å, rel. 16.2; 1.762 Å, rel. 13.1; 2.160 Å, rel. 12.8; 1.246 Å, rel. 11.3; 1.371 Å, rel. 10.0; 1.530 Å, rel. 7.8; 1.759 Å, rel. 6.1

Atomic structure:
Unit cell a=18.764 b=4.319 c=8.669 alpha=90.00 beta=102.81 gamma=90.00
Space group C2/m (No. 12)
Unique sites:
Pr (0.003, 0.000, 0.275) x4
Pr (0.167, 0.500, 0.585) x4
Pr (0.177, 0.500, 0.089) x4
Ge (0.000, 0.500, 0.500) x2
Ge (0.163, 0.000, 0.833) x4
S (0.169, 0.000, 0.335) x4
I (0.000, 0.500, 0.000) x2